The following is a theoretical X-ray diffraction stick pattern of RbSmSe2O8. It was derived from a structure optimized by DFT (GGA-PBE), using Cu Kα (weighted mean of Kα1 and Kα2).
Neutral-atom scattering factors, no anomalous dispersion.

Main lines, low angle first (2θ = 15–90°):
- 24.6°, I = 58, hkl 2 0 -2
- 26.9°, I = 100, hkl 1 2 -1
- 27.4°, I = 26, hkl 2 1 -2
- 27.9°, I = 77, hkl 2 1 2
- 32.1°, I = 24, hkl 0 0 4
- 45.1°, I = 29, hkl 1 3 3
- 47.7°, I = 25, hkl 3 3 1
- 48.4°, I = 24, hkl 1 2 -5

Structural model:
Cell: 9.3188 7.4538 11.1545 Å, 90.00 91.20 90.00°
Sites, in units of the cell vectors:
Rb: 0.0637 0.1452 0.3405
Rb: 0.0637 0.3548 0.8405
Rb: 0.9363 0.6452 0.1595
Rb: 0.9363 0.8548 0.6595
Sm: 0.4473 0.6681 0.6518
Sm: 0.4473 0.8319 0.1518
Sm: 0.5527 0.1681 0.8482
Sm: 0.5527 0.3319 0.3482
Se: 0.2354 0.6584 0.4120
Se: 0.2354 0.8416 0.9120
Se: 0.3217 0.1673 0.6086
Se: 0.3217 0.3327 0.1086
Se: 0.6783 0.6673 0.8914
Se: 0.6783 0.8327 0.3914
Se: 0.7646 0.1584 0.0880
Se: 0.7646 0.3416 0.5880
O: 0.1013 0.5276 0.3730
O: 0.1013 0.9724 0.8730
O: 0.1464 0.1484 0.6054
O: 0.1464 0.3516 0.1054
O: 0.2175 0.7405 0.0458
O: 0.2175 0.7595 0.5458
O: 0.2668 0.6879 0.8054
O: 0.2668 0.8121 0.3054
O: 0.3719 0.1553 0.1965
O: 0.3719 0.3447 0.6965
O: 0.3849 0.1724 0.4701
O: 0.3849 0.3276 0.9701
O: 0.3894 0.5449 0.4456
O: 0.3894 0.9551 0.9456
O: 0.4090 0.0029 0.6872
O: 0.4090 0.4971 0.1872
O: 0.5910 0.5029 0.8128
O: 0.5910 0.9971 0.3128
O: 0.6106 0.0449 0.0544
O: 0.6106 0.4551 0.5544
O: 0.6151 0.6724 0.0299
O: 0.6151 0.8276 0.5299
O: 0.6281 0.6553 0.3035
O: 0.6281 0.8447 0.8035
O: 0.7332 0.1879 0.6946
O: 0.7332 0.3121 0.1946
O: 0.7825 0.2405 0.4542
O: 0.7825 0.2595 0.9542
O: 0.8536 0.6484 0.8946
O: 0.8536 0.8516 0.3946
O: 0.8987 0.0276 0.1270
O: 0.8987 0.4724 0.6270